No. 1
The following is a theoretical XRD peak list of CaGa2Au4. It was derived from a crystal structure in Alexandria, relaxed with PBE, using CuKα.

Peak list (6 most intense, 2θ = 10–90°, by intensity)
| 2θ/deg | intensity |
| --- | --- |
| 36.1 | 100.0 |
| 38.7 | 65.5 |
| 35.1 | 61.0 |
| 20.4 | 48.1 |
| 27.7 | 44.9 |
| 35.3 | 44.4 |

Cell and atoms:
```
CaGa2Au4
1.0
5.1088 0.0000 0.0000
0.0000 16.5727 0.0000
-4.9227 0.0000 6.5328
Ca Ga Au
4 8 16
Direct
0.1275 0.1466 0.4074 Ca
0.1275 0.3534 0.9074 Ca
0.8725 0.6466 0.0925 Ca
0.8725 0.8534 0.5926 Ca
0.1863 0.0355 0.8122 Ga
0.1863 0.4645 0.3122 Ga
0.4169 0.7121 0.5969 Ga
0.4169 0.7879 0.0969 Ga
0.5831 0.2121 0.9031 Ga
0.5831 0.2879 0.4031 Ga
0.8137 0.5355 0.6878 Ga
0.8137 0.9645 0.1878 Ga
0.1091 0.6821 0.8119 Au
0.1091 0.8179 0.3119 Au
0.2063 0.5691 0.5651 Au
0.2063 0.9309 0.0651 Au
0.3483 0.5369 0.0843 Au
0.3483 0.9631 0.5843 Au
0.3609 0.1772 0.1307 Au
0.3609 0.3228 0.6307 Au
0.6391 0.6772 0.3693 Au
0.6391 0.8228 0.8693 Au
0.6517 0.0369 0.4157 Au
0.6517 0.4631 0.9157 Au
0.7937 0.0691 0.9349 Au
0.7937 0.4309 0.4349 Au
0.8909 0.1821 0.6881 Au
0.8909 0.3179 0.1881 Au
```

***

No. 2
The following is a theoretical XRD peak list of Ca3Ga2Au9. It was derived from a crystal structure in Alexandria, relaxed with PBE, using CuKα.

Peak list (6 most intense, 2θ = 10–90°, by intensity)
| 2θ/deg | intensity |
| --- | --- |
| 33.9 | 100.0 |
| 42.6 | 98.9 |
| 43.1 | 94.4 |
| 22.5 | 93.3 |
| 32.7 | 57.3 |
| 40.2 | 49.1 |

Cell and atoms:
```
Ca3Ga2Au9
1.0
-2.1226 5.3877 6.5150
2.1226 -5.3877 6.5150
2.1226 5.3877 -6.5150
Ca Ga Au
3 2 9
Direct
0.0000 0.0000 0.0000 Ca
0.2986 0.2986 0.0000 Ca
0.7014 0.7014 0.0000 Ca
0.3041 0.5000 0.8041 Ga
0.6959 0.5000 0.1959 Ga
0.0230 0.6494 0.3735 Au
0.1595 0.8631 0.2965 Au
0.2759 0.6494 0.6265 Au
0.4334 0.1369 0.2965 Au
0.5000 0.0000 0.5000 Au
0.5666 0.8631 0.7035 Au
0.7241 0.3506 0.3735 Au
0.8405 0.1369 0.7035 Au
0.9770 0.3506 0.6265 Au
```

***

No. 3
The following is a theoretical XRD peak list of Ca5GaAu4. It was derived from a crystal structure in Alexandria, relaxed with PBE, using CuKα.

Peak list (6 most intense, 2θ = 10–90°, by intensity)
| 2θ/deg | intensity |
| --- | --- |
| 34.9 | 100.0 |
| 34.6 | 51.0 |
| 24.3 | 44.5 |
| 62.2 | 36.9 |
| 42.9 | 22.1 |
| 24.7 | 21.5 |

Cell and atoms:
```
Ca5GaAu4
1.0
3.6677 0.0000 0.0000
0.0000 3.6677 0.0000
0.0000 0.0000 18.0567
Ca Ga Au
5 1 4
Direct
0.0000 0.0000 0.0000 Ca
0.0000 0.0000 0.1988 Ca
0.0000 0.0000 0.3978 Ca
0.0000 0.0000 0.6022 Ca
0.0000 0.0000 0.8012 Ca
0.5000 0.5000 0.5000 Ga
0.5000 0.5000 0.0995 Au
0.5000 0.5000 0.2997 Au
0.5000 0.5000 0.7003 Au
0.5000 0.5000 0.9005 Au
```

***

No. 4
The following is a theoretical XRD peak list of Ca2GaGeAu6. It was derived from a crystal structure in Alexandria, relaxed with PBE, using CuKα.

Peak list (6 most intense, 2θ = 10–90°, by intensity)
| 2θ/deg | intensity |
| --- | --- |
| 37.3 | 100.0 |
| 42.5 | 89.6 |
| 37.0 | 77.6 |
| 28.4 | 76.3 |
| 45.3 | 67.3 |
| 19.7 | 64.1 |

Cell and atoms:
```
Ca2GaGeAu6
1.0
5.7781 0.0000 0.0000
0.0000 8.7703 0.0000
0.0000 0.0000 8.9941
Ca Ga Ge Au
4 2 2 12
Direct
0.2500 0.0007 0.2355 Ca
0.2500 0.4993 0.2355 Ca
0.7500 0.5007 0.7645 Ca
0.7500 0.9993 0.7645 Ca
0.2500 0.7500 0.7653 Ga
0.7500 0.2500 0.2347 Ga
0.2500 0.2500 0.7709 Ge
0.7500 0.7500 0.2291 Ge
0.0020 0.2500 0.4846 Au
0.0023 0.7500 0.9986 Au
0.2500 0.0062 0.6183 Au
0.2500 0.4938 0.6183 Au
0.4980 0.2500 0.4846 Au
0.4977 0.7500 0.9986 Au
0.5023 0.2500 0.0014 Au
0.5020 0.7500 0.5154 Au
0.7500 0.5062 0.3817 Au
0.7500 0.9938 0.3817 Au
0.9977 0.2500 0.0014 Au
0.9980 0.7500 0.5154 Au
```

***

No. 5
The following is a theoretical XRD peak list of Ca3Ga2Hg2Au4. It was derived from a crystal structure in Alexandria, relaxed with PBE, using CuKα.

Peak list (6 most intense, 2θ = 10–90°, by intensity)
| 2θ/deg | intensity |
| --- | --- |
| 38.3 | 100.0 |
| 34.5 | 76.5 |
| 21.9 | 55.1 |
| 47.1 | 35.9 |
| 29.6 | 31.7 |
| 26.3 | 27.5 |

Cell and atoms:
```
Ca3Ga2Hg2Au4
1.0
4.6953 0.0000 0.0000
-2.3476 4.0662 0.0000
0.0000 0.0000 13.5395
Ca Ga Hg Au
3 2 2 4
Direct
0.0000 0.0000 0.0000 Ca
0.0000 0.0000 0.2627 Ca
0.0000 0.0000 0.7373 Ca
0.3333 0.6667 0.1387 Ga
0.6667 0.3333 0.8613 Ga
0.3333 0.6667 0.5712 Hg
0.6667 0.3333 0.4288 Hg
0.3333 0.6667 0.3508 Au
0.3333 0.6667 0.8726 Au
0.6667 0.3333 0.1274 Au
0.6667 0.3333 0.6492 Au
```

***

No. 6
The following is a theoretical XRD peak list of LiCa2GaAu2. It was derived from a crystal structure in Alexandria, relaxed with PBE, using CuKα.

Peak list (6 most intense, 2θ = 10–90°, by intensity)
| 2θ/deg | intensity |
| --- | --- |
| 24.0 | 100.0 |
| 38.4 | 56.2 |
| 42.2 | 54.1 |
| 49.1 | 37.6 |
| 29.5 | 37.5 |
| 66.8 | 16.1 |

Cell and atoms:
```
LiCa2GaAu2
1.0
-3.0255 7.4100 3.0320
3.0255 -7.4100 3.0320
3.0255 7.4100 -3.0320
Li Ca Ga Au
2 4 2 4
Direct
0.2500 0.2500 0.0000 Li
0.7500 0.7500 0.0000 Li
0.1726 0.2390 0.4116 Ca
0.3274 0.7390 0.0664 Ca
0.6726 0.2610 0.9336 Ca
0.8274 0.7610 0.5884 Ca
0.2500 0.7500 0.5000 Ga
0.7500 0.2500 0.5000 Ga
0.1150 0.7424 0.8574 Au
0.3850 0.2424 0.6275 Au
0.6150 0.7576 0.3725 Au
0.8850 0.2576 0.1426 Au
```

***

No. 7
The following is a theoretical XRD peak list of CaGa2PbAu5. It was derived from a crystal structure in Alexandria, relaxed with PBE, using CuKα.

Peak list (6 most intense, 2θ = 10–90°, by intensity)
| 2θ/deg | intensity |
| --- | --- |
| 34.1 | 100.0 |
| 38.1 | 53.4 |
| 66.4 | 29.8 |
| 55.0 | 18.6 |
| 21.5 | 16.7 |
| 36.9 | 15.1 |

Cell and atoms:
```
CaGa2PbAu5
1.0
4.7188 0.0000 0.0000
0.0000 4.7188 0.0000
0.0000 0.0000 8.5385
Ca Ga Pb Au
1 2 1 5
Direct
0.0000 0.0000 0.0000 Ca
0.5000 0.5000 0.3529 Ga
0.5000 0.5000 0.6471 Ga
0.0000 0.0000 0.5000 Pb
0.0000 0.5000 0.2234 Au
0.0000 0.5000 0.7766 Au
0.5000 0.0000 0.2234 Au
0.5000 0.0000 0.7766 Au
0.5000 0.5000 0.0000 Au
```

***

No. 8
The following is a theoretical XRD peak list of Ca2Ga3Pd4Au. It was derived from a crystal structure in Alexandria, relaxed with PBE, using CuKα.

Peak list (6 most intense, 2θ = 10–90°, by intensity)
| 2θ/deg | intensity |
| --- | --- |
| 34.3 | 100.0 |
| 44.6 | 56.7 |
| 43.2 | 53.1 |
| 15.9 | 37.8 |
| 22.7 | 36.3 |
| 73.6 | 20.9 |

Cell and atoms:
```
Ca2Ga3Pd4Au
1.0
4.1843 0.0000 0.0000
0.0000 4.1843 0.0000
0.0000 0.0000 11.1691
Ca Ga Pd Au
2 3 4 1
Direct
0.0000 0.5000 0.2417 Ca
0.5000 0.0000 0.7583 Ca
0.0000 0.0000 0.0000 Ga
0.0000 0.5000 0.6270 Ga
0.5000 0.0000 0.3730 Ga
0.0000 0.0000 0.5000 Pd
0.0000 0.5000 0.8453 Pd
0.5000 0.0000 0.1547 Pd
0.5000 0.5000 0.5000 Pd
0.5000 0.5000 0.0000 Au
```

***

No. 9
The following is a theoretical XRD peak list of CaPrGa2Au5. It was derived from a crystal structure in Alexandria, relaxed with PBE, using CuKα.

Peak list (6 most intense, 2θ = 10–90°, by intensity)
| 2θ/deg | intensity |
| --- | --- |
| 34.2 | 100.0 |
| 39.7 | 57.4 |
| 68.6 | 36.4 |
| 57.4 | 30.6 |
| 41.0 | 16.7 |
| 19.6 | 15.7 |

Cell and atoms:
```
CaPrGa2Au5
1.0
4.5407 0.0000 0.0000
0.0000 4.5407 0.0000
0.0000 0.0000 9.0671
Ca Pr Ga Au
1 1 2 5
Direct
0.0000 0.0000 0.0000 Ca
0.0000 0.0000 0.5000 Pr
0.5000 0.5000 0.3637 Ga
0.5000 0.5000 0.6363 Ga
0.0000 0.5000 0.2258 Au
0.0000 0.5000 0.7742 Au
0.5000 0.0000 0.2258 Au
0.5000 0.0000 0.7742 Au
0.5000 0.5000 0.0000 Au
```

***

No. 10
The following is a theoretical XRD peak list of Ca2ScGa4Au3. It was derived from a crystal structure in Alexandria, relaxed with PBE, using CuKα.

Peak list (6 most intense, 2θ = 10–90°, by intensity)
| 2θ/deg | intensity |
| --- | --- |
| 22.4 | 100.0 |
| 42.7 | 92.6 |
| 33.6 | 92.5 |
| 43.1 | 71.8 |
| 43.2 | 50.9 |
| 30.8 | 48.0 |

Cell and atoms:
```
Ca2ScGa4Au3
1.0
4.1999 0.0000 0.0000
0.0000 4.1999 0.0000
0.0000 0.0000 12.0774
Ca Sc Ga Au
2 1 4 3
Direct
0.0000 0.5000 0.2404 Ca
0.5000 0.0000 0.7596 Ca
0.0000 0.0000 0.5000 Sc
0.0000 0.0000 0.0000 Ga
0.0000 0.5000 0.6517 Ga
0.5000 0.0000 0.3483 Ga
0.5000 0.5000 0.0000 Ga
0.0000 0.5000 0.8636 Au
0.5000 0.0000 0.1364 Au
0.5000 0.5000 0.5000 Au
```

***

No. 11
The following is a theoretical XRD peak list of CaSc2GaAu4. It was derived from a crystal structure in Alexandria, relaxed with PBE, using CuKα.

Peak list (6 most intense, 2θ = 10–90°, by intensity)
| 2θ/deg | intensity |
| --- | --- |
| 38.0 | 100.0 |
| 36.1 | 89.4 |
| 26.0 | 82.5 |
| 67.4 | 30.4 |
| 53.4 | 29.0 |
| 46.6 | 18.5 |

Cell and atoms:
```
CaSc2GaAu4
1.0
2.3704 1.3685 8.3362
-2.3704 1.3685 8.3362
0.0000 -2.7371 8.3362
Ca Sc Ga Au
1 2 1 4
Direct
0.0000 0.0000 0.0000 Ca
0.2408 0.2408 0.2408 Sc
0.7592 0.7592 0.7592 Sc
0.5000 0.5000 0.5000 Ga
0.1239 0.1239 0.1239 Au
0.3899 0.3899 0.3899 Au
0.6101 0.6101 0.6101 Au
0.8761 0.8761 0.8761 Au
```

***

No. 12
The following is a theoretical XRD peak list of Ca2GaSi2Au6. It was derived from a crystal structure in Alexandria, relaxed with PBE, using CuKα.

Peak list (6 most intense, 2θ = 10–90°, by intensity)
| 2θ/deg | intensity |
| --- | --- |
| 34.4 | 100.0 |
| 31.6 | 92.9 |
| 23.2 | 79.2 |
| 17.0 | 72.5 |
| 15.6 | 43.2 |
| 44.2 | 34.4 |

Cell and atoms:
```
Ca2GaSi2Au6
1.0
3.3768 1.9496 7.6629
-3.3768 1.9496 7.6629
0.0000 -3.8992 7.6629
Ca Ga Si Au
2 1 2 6
Direct
0.2128 0.2128 0.2128 Ca
0.7872 0.7872 0.7872 Ca
0.0000 0.0000 0.0000 Ga
0.4487 0.4487 0.4487 Si
0.5513 0.5513 0.5513 Si
0.1836 0.7700 0.7700 Au
0.2300 0.2300 0.8164 Au
0.2300 0.8164 0.2300 Au
0.7700 0.1836 0.7700 Au
0.7700 0.7700 0.1836 Au
0.8164 0.2300 0.2300 Au
```